Entry 1:
For Pr12Ru6Au, a structure optimized by DFT (GGA-PBE) gives the computed powder X-ray diffraction pattern in this record (Cu Kα).
No peak broadening, texture or thermal motion is included.

Structure:
a = 10.1881 Å, b = 10.1881 Å, c = 10.1881 Å
α = 90.00°, β = 90.00°, γ = 90.00°
Space group Im-3 (No. 204)
Symmetry-distinct sites (fractional):
Pr 0.0000 0.1952 0.2972 (multiplicity 24)
Ru 0.0000 0.3790 0.5000 (multiplicity 12)
Au 0.0000 0.0000 0.0000 (multiplicity 2)

Top 10 peaks for 2θ from 10° to 90°, sorted by position:
2θ 27.69, I = 14.3, hkl 3 1 0
2θ 30.39, I = 46.5, hkl 2 2 2
2θ 32.89, I = 100.0, hkl 3 2 1
2θ 35.24, I = 22.7, hkl 4 0 0
2θ 45.39, I = 28.1, hkl 5 1 0
2θ 52.36, I = 23.7, hkl 5 0 3
2θ 55.61, I = 30.6, hkl 5 3 2
2θ 64.70, I = 20.7, hkl 5 4 3
2θ 79.89, I = 13.5, hkl 8 2 2
2θ 81.22, I = 15.7, hkl 7 5 0

Entry 2:
For NdGdAlPd, a structure optimized by DFT (GGA-PBE) gives the computed powder X-ray diffraction pattern in this record (Cu Kα).
No peak broadening, texture or thermal motion is included.

Structure:
a = 7.3144 Å, b = 7.3144 Å, c = 7.3144 Å
α = 90.00°, β = 90.00°, γ = 90.00°
Space group F-43m (No. 216)
Symmetry-distinct sites (fractional):
Nd 0.0000 0.0000 0.0000 (multiplicity 4)
Gd 0.0000 0.0000 0.5000 (multiplicity 4)
Al 0.2500 0.2500 0.2500 (multiplicity 4)
Pd 0.2500 0.2500 0.7500 (multiplicity 4)

Top 10 peaks for 2θ from 10° to 90°, sorted by position:
2θ 21.04, I = 8.4, hkl 1 1 1
2θ 24.34, I = 17.3, hkl 2 0 0
2θ 34.69, I = 100.0, hkl 2 2 0
2θ 40.92, I = 4.5, hkl 3 1 1
2θ 42.83, I = 5.3, hkl 2 2 2
2θ 49.87, I = 17.8, hkl 4 0 0
2θ 56.24, I = 7.3, hkl 4 2 0
2θ 62.17, I = 36.5, hkl 4 2 2
2θ 73.20, I = 11.2, hkl 4 4 0
2θ 83.61, I = 15.9, hkl 6 2 0

Entry 3:
For K3PO4, a structure optimized by DFT (GGA-PBE) gives the computed powder X-ray diffraction pattern in this record (Cu Kα).
No peak broadening, texture or thermal motion is included.

Structure:
a = 11.3696 Å, b = 8.2062 Å, c = 6.0149 Å
α = 90.00°, β = 90.00°, γ = 90.00°
Space group Pnma (No. 62)
Symmetry-distinct sites (fractional):
K 0.0698 0.2500 0.1366 (multiplicity 4)
K 0.1449 0.0090 0.6941 (multiplicity 8)
P 0.1154 0.7500 0.2829 (multiplicity 4)
O 0.0083 0.7500 0.4480 (multiplicity 4)
O 0.1104 0.5936 0.1346 (multiplicity 8)
O 0.2317 0.7500 0.4226 (multiplicity 4)

Top 10 peaks for 2θ from 10° to 90°, sorted by position:
2θ 18.29, I = 13.3, hkl 0 1 1
2θ 26.80, I = 10.4, hkl 2 2 0
2θ 30.71, I = 100.0, hkl 2 2 1
2θ 31.47, I = 17.1, hkl 4 0 0
2θ 32.68, I = 10.6, hkl 1 1 2
2θ 34.91, I = 13.9, hkl 4 0 1
2θ 38.20, I = 13.0, hkl 3 0 2
2θ 43.82, I = 12.0, hkl 4 0 2
2θ 44.14, I = 13.1, hkl 0 4 0
2θ 45.53, I = 10.5, hkl 1 3 2

- Number 1 is which compound?
  Pr12Ru6Au